# 1
# LaPmTh2Rh4
Computed powder XRD pattern, Cu Kα (weighted mean of Kα1 and Kα2). Input: a crystal structure in Alexandria, relaxed with PBE.

Top 10 peaks for 10° ≤ 2θ ≤ 90°, in order of falling intensity:
| index | Position (°2θ) | Rel. int. |
| --- | --- | --- |
| 2 0 2 | 30.89 | 100.0 |
| 2 4 2 | 44.47 | 73.4 |
| 0 4 0 | 31.19 | 54.2 |
| 0 0 4 | 42.37 | 19.0 |
| 0 4 4 | 53.54 | 18.9 |
| 2 8 2 | 73.74 | 16.6 |
| 4 4 0 | 56.68 | 16.4 |
| 4 0 0 | 46.07 | 15.2 |
| 2 2 0 | 27.46 | 12.4 |
| 4 4 4 | 73.26 | 12.1 |

Atomic structure:
Unit cell a=7.881 b=11.471 c=8.533 alpha=90.00 beta=90.00 gamma=90.00
Space group Fmm2 (No. 42)
Symmetry-distinct sites (fractional):
La (0.000, 0.000, 0.000) x4
Pm (0.000, 0.000, 0.558) x4
Th (0.250, 0.250, 0.254) x8
Rh (0.000, 0.244, 0.501) x8
Rh (0.207, 0.000, 0.276) x8

---

# 2
# LaPm3Ru
Computed powder XRD pattern, Cu Kα (weighted mean of Kα1 and Kα2). Input: a crystal structure in Alexandria, relaxed with PBE.

Top 10 peaks for 10° ≤ 2θ ≤ 90°, in order of falling intensity:
| index | Position (°2θ) | Rel. int. |
| --- | --- | --- |
| 2 2 -2 | 29.39 | 100.0 |
| 4 0 -1 | 32.53 | 75.6 |
| 2 2 0 | 28.86 | 66.0 |
| 0 0 2 | 29.16 | 50.3 |
| 3 1 -3 | 33.38 | 40.9 |
| 4 0 -2 | 29.53 | 36.9 |
| 2 0 0 | 20.29 | 27.9 |
| 4 2 -1 | 38.67 | 26.8 |
| 1 3 1 | 38.50 | 25.5 |
| 4 0 0 | 41.20 | 22.5 |

Atomic structure:
Unit cell a=12.107 b=8.737 c=8.463 alpha=90.00 beta=133.63 gamma=90.00
Space group C2/m (No. 12)
Symmetry-distinct sites (fractional):
La (0.046, 0.000, 0.333) x4
Pm (0.050, 0.500, 0.252) x4
Pm (0.246, 0.298, 0.790) x8
Ru (0.244, 0.000, 0.883) x4

---

# 3
# LaPm3Ru
Computed powder XRD pattern, Cu Kα (weighted mean of Kα1 and Kα2). Input: a crystal structure in Alexandria, relaxed with PBE.

Top 10 peaks for 10° ≤ 2θ ≤ 90°, in order of falling intensity:
| index | Position (°2θ) | Rel. int. |
| --- | --- | --- |
| 0 2 2 | 30.96 | 100.0 |
| 2 0 2 | 27.32 | 59.0 |
| 2 2 0 | 30.24 | 43.1 |
| 4 2 2 | 49.66 | 33.9 |
| 3 1 0 | 30.58 | 27.1 |
| 0 0 4 | 40.17 | 25.4 |
| 4 0 4 | 56.34 | 24.9 |
| 2 2 4 | 51.09 | 20.1 |
| 3 1 2 | 36.69 | 19.7 |
| 3 3 2 | 50.58 | 19.7 |

Atomic structure:
Unit cell a=9.511 b=7.546 c=8.980 alpha=90.00 beta=90.00 gamma=90.00
Space group Ima2 (No. 46)
Symmetry-distinct sites (fractional):
La (0.250, 0.026, 0.000) x4
Pm (0.040, 0.749, 0.750) x8
Pm (0.250, 0.018, 0.501) x4
Ru (0.250, 0.248, 0.250) x4

---

# 4
# La2PmTlRu
Computed powder XRD pattern, Cu Kα (weighted mean of Kα1 and Kα2). Input: a crystal structure in Alexandria, relaxed with PBE.

Top 10 peaks for 10° ≤ 2θ ≤ 90°, in order of falling intensity:
| index | Position (°2θ) | Rel. int. |
| --- | --- | --- |
| 1 1 1 | 28.30 | 100.0 |
| 2 0 0 | 33.09 | 65.5 |
| 2 0 2 | 46.83 | 49.7 |
| 0 0 2 | 32.18 | 35.2 |
| 3 1 1 | 56.21 | 29.8 |
| 2 2 2 | 58.54 | 25.6 |
| 2 2 0 | 47.50 | 23.9 |
| 4 2 2 | 87.97 | 16.8 |
| 1 1 3 | 55.03 | 15.9 |
| 1 0 1 | 22.92 | 15.3 |

Atomic structure:
Unit cell a=5.414 b=5.414 c=5.563 alpha=90.00 beta=90.00 gamma=90.00
Space group P4mm (No. 99)
Symmetry-distinct sites (fractional):
La (0.000, 0.500, 0.000) x2
Pm (0.000, 0.000, 0.501) x1
Tl (0.500, 0.500, 0.501) x1
Ru (0.000, 0.000, 0.002) x1

---

# 5
# La5Pm3S8
Computed powder XRD pattern, Cu Kα (weighted mean of Kα1 and Kα2). Input: a crystal structure in Alexandria, relaxed with PBE.

Top 10 peaks for 10° ≤ 2θ ≤ 90°, in order of falling intensity:
| index | Position (°2θ) | Rel. int. |
| --- | --- | --- |
| 0 2 4 | 30.76 | 100.0 |
| 2 2 0 | 44.06 | 72.5 |
| 2 0 2 | 26.56 | 71.9 |
| 0 2 10 | 52.19 | 36.1 |
| 2 4 4 | 72.75 | 32.0 |
| 4 0 4 | 54.70 | 25.2 |
| 6 0 0 | 81.04 | 24.1 |
| 2 0 14 | 70.63 | 14.6 |
| 0 4 8 | 64.07 | 11.7 |
| 0 0 18 | 87.12 | 11.4 |

Atomic structure:
Unit cell a=8.2203 b=8.2203 c=20.1415 alpha=90.00 beta=90.00 gamma=120.00
Space group R-3m (No. 166, hexagonal axes)
Symmetry-distinct sites (fractional):
La (0.0000, 0.0000, 0.0000) x3
La (0.0000, 0.0000, 0.5000) x3
La (0.0000, 0.5000, 0.0000) x9
Pm (0.0000, 0.5000, 0.5000) x9
S (0.0000, 0.0000, 0.2473) x6
S (0.0038, 0.5019, 0.7519) x18

---

# 6
# La2Pm2S3
Computed powder XRD pattern, Cu Kα (weighted mean of Kα1 and Kα2). Input: a crystal structure in Alexandria, relaxed with PBE.

Top 10 peaks for 10° ≤ 2θ ≤ 90°, in order of falling intensity:
| index | Position (°2θ) | Rel. int. |
| --- | --- | --- |
| 1 1 1 | 26.86 | 100.0 |
| 3 1 -1 | 30.78 | 97.1 |
| 2 0 2 | 31.57 | 45.7 |
| 1 1 -3 | 44.56 | 34.8 |
| 5 1 1 | 44.79 | 33.8 |
| 2 0 -2 | 26.64 | 33.6 |
| 2 2 -2 | 52.38 | 21.5 |
| 2 2 2 | 55.38 | 18.0 |
| 0 2 0 | 44.27 | 17.7 |
| 6 0 -2 | 43.91 | 17.4 |

Atomic structure:
Unit cell a=13.573 b=4.092 c=7.033 alpha=90.00 beta=101.61 gamma=90.00
Space group C2/m (No. 12)
Symmetry-distinct sites (fractional):
La (0.125, 0.000, 0.370) x4
Pm (0.131, 0.500, 0.870) x4
S (0.000, 0.500, 0.500) x2
S (0.248, 0.000, 0.754) x4

---

Which formula does entry 5 have?
La5Pm3S8